The following is a computed powder diffraction line list of Li4TiCo3O8. It was derived from the GGA+U geometry in the Materials Project, using Cu Kα (λ = 1.5418 Å).
Intensities are scaled so that the largest is 100.

```
32
Lattice="5.857 0.000 0.000 2.900 5.153 0.000 2.868 1.608 9.731" Properties=species:S:1:pos:R:3 pbc="T T T"
Li 2.904 1.697 2.449
Li 4.347 2.505 7.317
Li 5.783 5.053 7.290
Li 4.367 4.268 2.440
Li 7.258 2.493 7.291
Li 5.842 1.708 2.441
Li 7.278 4.256 2.414
Li 8.721 5.064 7.282
Ti 2.884 3.381 4.866
Ti 2.928 0.000 0.000
Co 0.000 0.000 0.000
Co 1.434 0.804 4.866
Co 1.450 2.576 0.000
Co 4.363 0.804 4.866
Co 4.378 2.576 0.000
Co 5.813 3.381 4.866
O 2.815 1.668 5.963
O 4.279 4.136 6.024
O 2.903 3.368 1.050
O 1.515 0.824 1.128
O 4.275 2.542 3.731
O 5.782 5.176 3.835
O 5.790 3.259 8.592
O 7.297 5.934 8.592
O 4.328 0.827 1.139
O 5.835 3.502 1.139
O 5.843 1.585 5.896
O 7.350 4.219 6.000
O 10.110 5.937 8.603
O 8.722 3.393 8.681
O 7.346 2.625 3.707
O 8.811 5.093 3.768
```

Most intense lines, 2θ from 5° to 70°, by intensity:
2θ/deg	d [Å]	intensity
18.23	4.865	100
42.74	2.116	28
43.28	2.090	26
43.62	2.075	25
35.31	2.542	16
62.55	1.485	15
35.72	2.514	14
35.95	2.498	13

The following is a computed powder diffraction line list of PbWO4. It was derived from the GGA+U geometry in the Materials Project, using Cu Kα (λ = 1.5418 Å).
Intensities are scaled so that the largest is 100.

```
12
Lattice="5.579 0.000 0.000 0.001 5.616 0.000 2.770 2.802 6.050" Properties=species:S:1:pos:R:3 pbc="T T T"
Pb 1.402 2.841 1.514
Pb 6.948 5.576 4.536
W 4.196 2.803 4.544
W 4.154 5.614 1.506
O 3.372 4.099 5.533
O 2.919 2.013 3.512
O 2.851 4.815 2.512
O 4.977 7.124 5.574
O 3.373 1.293 0.477
O 5.499 3.603 3.538
O 5.431 6.404 2.538
O 4.978 4.319 0.517
```

Most intense lines, 2θ from 5° to 70°, by intensity:
2θ/deg	d [Å]	intensity
26.92	3.312	100
29.53	3.025	16
44.00	2.058	15
53.83	1.703	15
31.87	2.808	13
45.86	1.979	13
32.09	2.789	13
50.86	1.795	9

The following is a computed powder diffraction line list of ErFeO3. It was derived from the GGA+U geometry in the Materials Project, using Cu Kα (λ = 1.5418 Å).
Intensities are scaled so that the largest is 100.

```
20
Lattice="5.630 0.000 0.000 0.000 7.686 0.000 0.000 0.000 5.295" Properties=species:S:1:pos:R:3 pbc="T T T"
Er 0.400 1.921 0.108
Er 2.414 5.764 2.755
Er 3.215 1.921 2.540
Er 5.229 5.764 5.188
Fe 0.000 0.000 2.648
Fe 0.000 3.843 2.648
Fe 2.815 0.000 0.000
Fe 2.815 3.843 0.000
O 0.261 5.764 2.003
O 1.083 4.320 4.291
O 1.083 7.209 4.291
O 1.731 0.477 1.644
O 1.731 3.366 1.644
O 2.554 1.921 4.650
O 3.076 5.764 0.645
O 3.898 4.320 3.651
O 3.898 7.209 3.651
O 4.546 0.477 1.004
O 4.546 3.366 1.004
O 5.369 1.921 3.292
```

Most intense lines, 2θ from 5° to 70°, by intensity:
2θ/deg	d [Å]	intensity
32.90	2.722	100
33.88	2.646	39
23.10	3.851	36
59.99	1.542	27
25.84	3.447	24
53.13	1.724	21
31.79	2.815	17
48.68	1.871	15

The following is a computed powder diffraction line list of MgTl4Mo2O8. It was derived from the GGA+U geometry in the Materials Project, using Cu Kα (λ = 1.5418 Å).
Intensities are scaled so that the largest is 100.

```
15
Lattice="5.712 -3.426 0.000 5.712 3.426 0.000 0.000 0.000 8.059" Properties=species:S:1:pos:R:3 pbc="T T T"
Mg 0.000 0.000 0.000
Tl 3.668 2.041 2.604
Tl 7.757 2.041 5.454
Tl 5.712 -0.121 0.000
Tl 5.712 -1.386 4.029
Mo 1.990 -1.167 1.734
Mo 9.435 -1.167 6.325
O 0.705 0.272 1.853
O 4.144 2.170 0.168
O 4.363 0.714 5.631
O 7.281 2.170 7.891
O 3.665 -0.561 2.138
O 7.062 0.714 2.428
O 7.760 -0.561 5.921
O 10.720 0.272 6.206
```

Most intense lines, 2θ from 5° to 70°, by intensity:
2θ/deg	d [Å]	intensity
26.80	3.326	100
27.08	3.293	36
47.67	1.908	21
26.01	3.426	16
28.31	3.153	15
18.69	4.748	15
47.78	1.904	14
37.90	2.374	14

The following is a computed powder diffraction line list of MoO4. It was derived from the GGA+U geometry in the Materials Project, using Cu Kα (λ = 1.5418 Å).
Intensities are scaled so that the largest is 100.

```
10
Lattice="10.066 -1.864 0.000 10.066 1.864 0.000 -0.033 0.000 3.752" Properties=species:S:1:pos:R:3 pbc="T T T"
Mo 2.024 0.000 0.975
Mo 18.075 0.000 2.777
O 6.230 1.139 2.754
O 1.610 0.000 2.857
O 13.868 1.139 0.998
O 8.636 0.000 2.768
O 11.463 0.000 0.984
O 6.230 -1.139 2.754
O 18.488 0.000 0.894
O 13.868 -1.139 0.998
```

Most intense lines, 2θ from 5° to 70°, by intensity:
2θ/deg	d [Å]	intensity
17.62	5.033	100
24.28	3.666	77
25.26	3.526	70
25.41	3.505	67
32.74	2.736	43
26.57	3.355	34
8.79	10.065	32
34.20	2.622	26

The following is a computed powder diffraction line list of MgCo4P8O28. It was derived from the GGA+U geometry in the Materials Project, using Cu Kα (λ = 1.5418 Å).
Intensities are scaled so that the largest is 100.

```
41
Lattice="7.010 0.000 0.000 -0.032 8.203 0.000 -3.049 -0.159 9.019" Properties=species:S:1:pos:R:3 pbc="T T T"
Mg 0.000 0.000 0.000
Co 0.116 1.286 3.760
Co -1.271 1.881 8.068
Co 1.531 5.286 8.377
Co 3.201 5.769 3.924
P 0.712 6.935 5.793
P 2.367 4.152 1.212
P 2.412 -0.002 2.021
P 1.035 2.832 6.337
P 5.189 7.361 1.976
P 3.730 3.883 6.494
P 4.976 7.944 5.704
P 6.579 3.213 1.113
O -0.001 2.060 0.156
O -1.488 0.853 4.777
O -2.209 0.290 7.160
O -0.650 2.699 2.531
O -0.532 -0.024 2.295
O -1.974 3.209 6.912
O -0.896 6.791 5.804
O 0.753 4.322 1.073
O 1.890 -0.005 0.587
O 0.630 2.787 4.868
O 1.825 1.161 2.846
O 1.060 0.085 5.133
O 2.649 2.788 0.530
O 0.441 1.677 7.163
O 1.281 5.827 4.887
O 0.691 4.199 6.939
O 2.977 5.302 0.362
O 2.178 6.847 2.708
O 1.180 6.850 7.239
O 2.755 4.198 2.662
O 4.007 0.238 1.942
O 2.645 2.680 6.447
O 3.718 7.254 5.233
O 5.330 3.935 0.641
O 3.878 4.451 5.086
O 5.484 6.933 0.502
O 3.266 4.955 7.492
O 4.840 6.213 2.886
```

Most intense lines, 2θ from 5° to 70°, by intensity:
2θ/deg	d [Å]	intensity
17.10	5.185	100
29.18	3.060	79
17.26	5.138	68
29.70	3.008	45
27.80	3.209	38
29.54	3.024	27
14.73	6.015	25
14.47	6.122	23

The following is a computed powder diffraction line list of Li12Mn3CoP4C4O28. It was derived from the GGA+U geometry in the Materials Project, using Cu Kα (λ = 1.5418 Å).
Intensities are scaled so that the largest is 100.

```
52
Lattice="8.532 0.000 0.000 0.000 6.588 0.000 -0.786 0.000 9.974" Properties=species:S:1:pos:R:3 pbc="T T T"
Li 0.000 0.000 0.000
Li -0.384 0.000 4.982
Li 0.946 1.480 7.555
Li 0.946 5.108 7.555
Li 1.348 1.483 2.547
Li 1.348 5.105 2.547
Li 5.404 1.823 0.034
Li 5.404 4.765 0.034
Li 5.020 1.822 5.014
Li 5.020 4.766 5.014
Li 6.731 3.294 2.598
Li 6.363 3.294 7.583
Mn 1.728 3.294 4.897
Mn 4.629 0.000 2.679
Mn 4.235 0.000 7.665
Co 1.297 3.294 9.801
P 2.299 0.000 5.178
P 2.696 0.000 0.200
P 4.034 3.294 2.380
P 3.666 3.294 7.406
C 7.282 0.000 2.305
C 6.890 0.000 7.293
C 7.610 3.294 5.268
C 8.045 3.294 0.286
O 0.018 0.000 2.011
O -0.374 0.000 7.000
O -0.049 3.294 6.239
O 0.402 3.294 1.239
O 1.492 1.212 4.639
O 1.492 5.376 4.639
O 1.112 1.226 9.633
O 1.112 5.362 9.633
O 2.571 3.294 2.881
O 2.183 3.294 7.871
O 2.682 0.000 1.763
O 2.290 0.000 6.744
O 4.001 3.294 0.812
O 3.663 3.294 5.842
O 3.785 0.000 4.732
O 3.394 0.000 9.720
O 4.862 2.086 2.909
O 4.862 4.502 2.909
O 4.479 2.081 7.936
O 4.479 4.507 7.936
O 6.409 0.000 1.335
O 6.015 0.000 6.324
O 6.340 3.294 5.565
O 6.776 3.294 0.578
O 6.869 0.000 3.530
O 6.477 0.000 8.518
O 8.019 3.294 4.044
O 7.674 3.294 9.031
```

Most intense lines, 2θ from 5° to 70°, by intensity:
2θ/deg	d [Å]	intensity
27.07	3.294	100
10.40	8.506	82
21.35	4.162	44
19.92	4.458	34
26.45	3.369	33
36.76	2.445	25
40.20	2.243	21
42.51	2.126	20

The following is a computed powder diffraction line list of Li3Fe2O3F3. It was derived from the GGA+U geometry in the Materials Project, using Cu Kα (λ = 1.5418 Å).
Intensities are scaled so that the largest is 100.

```
11
Lattice="1.612 0.931 13.644 -1.612 0.931 13.644 0.000 -1.862 13.644" Properties=species:S:1:pos:R:3 pbc="T T T"
Li 0.000 0.000 0.000
Li 0.000 0.000 5.022
Li 0.000 0.000 16.164
Fe 0.000 0.000 10.796
Fe 0.000 0.000 21.393
O 0.000 0.000 7.432
O 0.000 0.000 23.312
O 0.000 0.000 38.935
F 0.000 0.000 3.108
F 0.000 0.000 14.236
F 0.000 0.000 19.158
```

Most intense lines, 2θ from 5° to 70°, by intensity:
2θ/deg	d [Å]	intensity
6.48	13.644	100
32.13	2.786	14
33.25	2.694	12
57.13	1.612	10
26.12	3.411	9
40.38	2.234	8
48.24	1.886	6
35.63	2.520	6

The following is a computed powder diffraction line list of Cu3NiF6. It was derived from the GGA+U geometry in the Materials Project, using Cu Kα (λ = 1.5418 Å).
Intensities are scaled so that the largest is 100.

```
10
Lattice="5.269 0.000 0.000 2.340 5.694 0.000 2.380 -0.610 6.365" Properties=species:S:1:pos:R:3 pbc="T T T"
Cu 0.000 0.000 0.000
Cu 2.360 2.542 3.182
Cu 2.634 0.000 0.000
Ni 3.805 2.847 0.000
F 4.540 3.325 6.018
F 2.956 1.889 1.592
F 4.557 4.331 1.148
F 5.432 0.752 5.217
F 7.034 3.194 4.773
F 5.449 1.758 0.347
```

Most intense lines, 2θ from 5° to 70°, by intensity:
2θ/deg	d [Å]	intensity
13.91	6.365	100
19.51	4.550	36
39.61	2.275	36
28.04	3.182	29
19.96	4.449	22
20.77	4.277	20
27.25	3.272	16
31.57	2.834	15

The following is a computed powder diffraction line list of LiMnSiO4. It was derived from the GGA+U geometry in the Materials Project, using Cu Kα (λ = 1.5418 Å).
Intensities are scaled so that the largest is 100.

```
14
Lattice="-2.723 2.888 4.347 2.723 -2.888 4.347 2.723 2.888 -4.347" Properties=species:S:1:pos:R:3 pbc="T T T"
Li 0.000 1.444 1.025
Li 2.723 1.444 3.322
Mn 2.723 0.000 0.000
Mn 0.000 0.000 4.347
Si 1.361 1.444 -2.173
Si 1.361 -1.444 2.173
O 2.723 2.649 -2.200
O 1.436 1.444 -0.327
O 4.010 1.444 -0.327
O 2.723 -0.239 2.200
O 0.000 3.128 2.147
O -1.287 1.444 4.674
O 1.287 1.444 4.674
O 0.000 0.239 6.546
```

Most intense lines, 2θ from 5° to 70°, by intensity:
2θ/deg	d [Å]	intensity
19.23	4.615	100
18.44	4.811	72
45.80	1.981	59
36.71	2.448	39
63.54	1.464	37
41.55	2.173	36
35.08	2.558	28
47.48	1.915	15

The following is a computed powder diffraction line list of Li2MnF4. It was derived from the GGA+U geometry in the Materials Project, using Cu Kα (λ = 1.5418 Å).
Intensities are scaled so that the largest is 100.

```
14
Lattice="4.197 0.000 0.000 0.000 4.197 0.000 0.000 0.000 9.031" Properties=species:S:1:pos:R:3 pbc="T T T"
Li 0.000 2.098 2.258
Li 0.000 2.098 6.774
Li 2.098 0.000 2.258
Li 2.098 0.000 6.774
Mn 0.000 0.000 0.000
Mn 2.098 2.098 4.516
F 0.000 0.000 2.138
F 0.000 0.000 6.893
F 0.000 2.098 0.000
F 0.000 2.098 4.516
F 2.098 0.000 0.000
F 2.098 0.000 4.516
F 2.098 2.098 2.377
F 2.098 2.098 6.654
```

Most intense lines, 2θ from 5° to 70°, by intensity:
2θ/deg	d [Å]	intensity
23.37	3.806	100
43.11	2.098	52
39.93	2.258	33
60.20	1.537	32
49.61	1.838	23
19.66	4.516	23
36.74	2.446	18
30.11	2.968	15